# Lu10Ti6O27
Theoretical powder diffraction line list, Cu Kα X-rays. Input: a cell relaxed with GGA-PBE.

```
data_Lu10Ti6O27
_chemical_formula_sum 'Lu20 Ti12 O54'
_cell_length_a 12.7631
_cell_length_b 7.1524
_cell_length_c 12.2802
_cell_angle_alpha 90.00
_cell_angle_beta 110.24
_cell_angle_gamma 90.00
_space_group_name_H-M_alt 'C 1 m 1'
_space_group_IT_number 8
loop_
_space_group_symop_operation_xyz
'x,y,z'
'x,-y,z'
'x+1/2,y+1/2,z'
'x+1/2,-y+1/2,z'
loop_
_atom_site_label
_atom_site_fract_x
_atom_site_fract_y
_atom_site_fract_z
Lu1 0.0000 0.0000 0.0000
Lu2 0.0025 0.0000 0.5098
Lu3 0.0124 0.2430 0.2564
Lu4 0.0329 0.5000 0.9954
Lu5 0.2578 0.0000 0.2747
Lu6 0.2676 0.0000 0.7733
Lu7 0.2735 0.5000 0.2435
Lu8 0.4926 0.2537 0.7392
Ti1 0.0146 0.5000 0.5112
Ti2 0.2543 0.2553 0.4966
Ti3 0.2593 0.2396 0.0108
Ti4 0.2696 0.5000 0.7586
O1 0.0821 0.0000 0.1889
O2 0.0872 0.0000 0.6956
O3 0.1014 0.2164 0.9451
O4 0.1055 0.2591 0.4830
O5 0.1093 0.5000 0.6828
O6 0.1955 0.2926 0.3178
O7 0.2197 0.5000 0.0533
O8 0.2564 0.0000 0.4547
O9 0.2765 0.0000 0.9560
O10 0.2810 0.3189 0.8706
O11 0.2973 0.2467 0.6670
O12 0.3107 0.2142 0.1744
O13 0.3212 0.5000 0.4979
O14 0.4332 0.5000 0.8012
O15 0.4373 0.2058 0.5470
O16 0.4488 0.5000 0.3218
O17 0.4504 0.0000 0.8157
O18 0.4604 0.0000 0.3447
O19 0.4605 0.2227 0.0690
```

Largest 10 diffraction maxima, by angle, 2θ from 15° to 90°:
hkl	2θ (°)	d (Å)	intensity
4 0 0	29.8	2.994	54
2 2 -2	30.5	2.934	100
0 0 4	31.0	2.881	47
4 0 -4	35.0	2.566	21
2 2 2	35.5	2.530	45
6 2 -2	49.9	1.828	29
0 4 0	51.1	1.789	29
2 2 -6	51.5	1.776	27
6 2 2	59.9	1.544	14
4 4 0	60.3	1.535	14